Zn4WF12: simulated powder XRD pattern (Cu Kα X-rays), based on a structure optimized by DFT (GGA+U).
Intensities are scaled so that the largest is 100.

Lattice parameters (Å, degrees): 7.364 8.196 8.211 90.00 90.00 90.00
Space group Immm (No. 71)
Unique sites:
Zn 0.250 0.250 0.250
W 0.000 0.000 0.000
F 0.000 0.301 0.301
F 0.169 0.000 0.212
F 0.169 0.213 0.000

Main lines, sorted by position (10 to 90 degrees two-theta):
h k l  2theta  I/Imax
0 1 1  15.27  71
1 1 0  16.17  100
1 2 1  27.16  43
0 2 2  30.83  36
2 2 0  32.68  69
1 3 0  35.00  24
0 4 0  44.16  35
3 2 1  44.40  23
2 4 2  56.01  39
4 2 2  59.47  24